Starting from a GGA-PBE-relaxed structure, the powder diffraction line list of PuIrO3 was calculated for Cu Kα, 1.54184 Å.
Neutral-atom scattering factors, no anomalous dispersion.

Structure:
a = 4.1344 Å, b = 4.1344 Å, c = 4.1344 Å
α = 90.00°, β = 90.00°, γ = 90.00°
Atoms (fractional coordinates):
Pu (0.0000, 0.0000, 0.0000)
Ir (0.5000, 0.5000, 0.5000)
O (0.0000, 0.0000, 0.5000)
O (0.0000, 0.5000, 0.0000)
O (0.5000, 0.0000, 0.0000)

Peak list (8 most intense, 2θ = 10–90°, most intense first)
Position (°2θ)  I/Imax  hkl
30.6  100.0  1 1 0
54.4  41.9  2 1 1
43.8  25.6  2 0 0
88.5  22.9  3 2 1
72.3  18.4  3 1 0
63.7  16.6  2 2 0
80.5  5.7  2 2 2
21.5  2.8  1 0 0